No. 1
Computed XRD peak list of Ba2MgCu3F14 for CuKα, from the PBE geometry in the Materials Project.
Peak positions follow from Bragg's law for the DFT cell and can differ from measured ones.

Main lines, in order of falling intensity (5° ≤ 2θ ≤ 70°):
2θ 25.56, I = 100.0; 2θ 25.76, I = 97.8; 2θ 41.33, I = 63.8; 2θ 28.08, I = 59.6; 2θ 24.48, I = 59.0; 2θ 30.72, I = 52.1; 2θ 28.85, I = 51.2; 2θ 27.38, I = 39.6

Structural model:
a = 5.2645 Å, b = 7.3942 Å, c = 14.5504 Å
α = 91.43°, β = 90.24°, γ = 110.39°
Positions (direct):
Ba  0.1198  0.3780  0.1230
Ba  0.2587  0.3790  0.6226
Ba  0.7413  0.6210  0.3774
Ba  0.8802  0.6220  0.8770
Mg  0.4297  0.0017  0.2502
Mg  0.5703  0.9983  0.7498
Cu  0.0987  0.2310  0.3723
Cu  0.1344  0.2354  0.8720
Cu  0.5000  0.0000  0.0000
Cu  0.5000  0.0000  0.5000
Cu  0.8656  0.7646  0.1280
Cu  0.9013  0.7690  0.6277
F  0.0436  0.6756  0.2256
F  0.0888  0.9804  0.3381
F  0.1093  0.0153  0.1612
F  0.1233  0.8375  0.5168
F  0.1361  0.7335  0.0447
F  0.1628  0.4944  0.4048
F  0.1948  0.7784  0.7133
F  0.2903  0.1583  0.9804
F  0.3383  0.4961  0.9049
F  0.3665  0.3183  0.2759
F  0.3965  0.8966  0.8797
F  0.4057  0.2518  0.4563
F  0.4172  0.2211  0.7890
F  0.4931  0.0997  0.6223
F  0.5069  0.9003  0.3777
F  0.5828  0.7789  0.2110
F  0.5943  0.7482  0.5437
F  0.6035  0.1034  0.1203
F  0.6335  0.6817  0.7241
F  0.6617  0.5039  0.0951
F  0.7097  0.8417  0.0196
F  0.8052  0.2216  0.2867
F  0.8372  0.5056  0.5952
F  0.8639  0.2665  0.9553
F  0.8767  0.1625  0.4832
F  0.8907  0.9847  0.8388
F  0.9112  0.0196  0.6619
F  0.9564  0.3244  0.7744

=====

No. 2
Computed XRD peak list of BaSrCeZrO6 for CuKα, from the PBE geometry in the Materials Project.
Peak positions follow from Bragg's law for the DFT cell and can differ from measured ones.

Main lines, in order of falling intensity (5° ≤ 2θ ≤ 70°):
2θ 29.09, I = 100.0; 2θ 51.56, I = 40.9; 2θ 41.60, I = 32.1; 2θ 60.30, I = 20.1; 2θ 68.32, I = 17.9; 2θ 17.69, I = 4.3; 2θ 34.25, I = 3.0; 2θ 20.46, I = 1.8

Structural model:
a = 6.1399 Å, b = 6.1399 Å, c = 6.1399 Å
α = 60.00°, β = 60.00°, γ = 60.00°
Positions (direct):
Ba  0.0000  0.0000  0.0000
Sr  0.5000  0.5000  0.5000
Ce  0.2500  0.2500  0.2500
Zr  0.7500  0.7500  0.7500
O  0.5068  0.5068  0.9932
O  0.5068  0.9932  0.5068
O  0.5068  0.9932  0.9932
O  0.9932  0.5068  0.5068
O  0.9932  0.5068  0.9932
O  0.9932  0.9932  0.5068